# FePdBr7
Calculated PXRD pattern, Cu Kα. Input: a crystal structure in OQMD, relaxed with GGA-PBE.
No peak broadening, texture or thermal motion is included.

Atomic structure:
```
data_FePdBr7
_chemical_formula_sum 'Fe2 Pd2 Br14'
_symmetry_space_group_name_H-M 'P 1'
_symmetry_Int_Tables_number 1
_symmetry_space_group_name_Hall 'P 1'
_cell_length_a 6.7935
_cell_length_b 6.3890
_cell_length_c 14.6732
_cell_angle_alpha 90.00
_cell_angle_beta 105.50
_cell_angle_gamma 90.00
loop_
_atom_site_label
_atom_site_fract_x
_atom_site_fract_y
_atom_site_fract_z
Fe1 0.0000 0.0046 0.0000
Fe2 0.0000 0.9954 0.5000
Pd1 0.2590 0.3842 0.6376
Pd2 0.2590 0.6158 0.1376
Br1 0.1952 0.4042 0.2641
Br2 0.1952 0.5958 0.7641
Br3 0.3230 0.1498 0.5034
Br4 0.3230 0.8502 0.0034
Br5 0.5010 0.1730 0.7616
Br6 0.5010 0.8270 0.2616
Br7 0.5462 0.3973 0.1290
Br8 0.5462 0.6027 0.6290
Br9 0.7569 0.1293 0.3673
Br10 0.7569 0.8707 0.8673
Br11 0.9525 0.1476 0.6417
Br12 0.9525 0.8524 0.1417
Br13 0.9853 0.3687 0.9968
Br14 0.9853 0.6313 0.4968
```

Top 12 peaks for 5° ≤ 2θ ≤ 70°, sorted by position:
12.52°, I = 57
15.80°, I = 100
18.72°, I = 47
19.41°, I = 38
25.09°, I = 56
28.65°, I = 42
28.90°, I = 38
29.65°, I = 77
29.81°, I = 62
34.02°, I = 48
38.71°, I = 40
46.74°, I = 38



# Rb2Fe2PdBr8
Calculated PXRD pattern, Cu Kα. Input: a crystal structure in OQMD, relaxed with GGA-PBE.
No peak broadening, texture or thermal motion is included.

Atomic structure:
```
data_Rb2Fe2PdBr8
_chemical_formula_sum 'Rb2 Fe2 Pd1 Br8'
_symmetry_space_group_name_H-M 'P 1'
_symmetry_Int_Tables_number 1
_symmetry_space_group_name_Hall 'P 1'
_cell_length_a 7.2177
_cell_length_b 7.2177
_cell_length_c 10.8167
_cell_angle_alpha 109.62
_cell_angle_beta 109.62
_cell_angle_gamma 61.75
loop_
_atom_site_label
_atom_site_fract_x
_atom_site_fract_y
_atom_site_fract_z
Rb1 0.0743 0.0743 0.2702
Rb2 0.9257 0.9257 0.7298
Fe1 0.3685 0.3685 0.2076
Fe2 0.6315 0.6315 0.7924
Pd1 0.5000 0.5000 0.5000
Br1 0.1122 0.6012 0.3571
Br2 0.1900 0.1900 0.0167
Br3 0.3988 0.8878 0.6429
Br4 0.4471 0.4471 0.8057
Br5 0.5529 0.5529 0.1943
Br6 0.6012 0.1122 0.3571
Br7 0.8100 0.8100 0.9833
Br8 0.8878 0.3988 0.6429
```

Top 12 peaks for 5° ≤ 2θ ≤ 70°, sorted by position:
14.57°, I = 65
15.12°, I = 73
24.03°, I = 43
25.23°, I = 74
25.66°, I = 48
26.20°, I = 73
27.65°, I = 47
30.50°, I = 90
31.96°, I = 99
33.21°, I = 52
43.81°, I = 100
50.61°, I = 49



# FeReBr7
Calculated PXRD pattern, Cu Kα. Input: a crystal structure in OQMD, relaxed with GGA-PBE.
No peak broadening, texture or thermal motion is included.

Atomic structure:
```
data_FeReBr7
_chemical_formula_sum 'Fe2 Re2 Br14'
_symmetry_space_group_name_H-M 'P 1'
_symmetry_Int_Tables_number 1
_symmetry_space_group_name_Hall 'P 1'
_cell_length_a 7.1096
_cell_length_b 6.3190
_cell_length_c 15.1953
_cell_angle_alpha 90.00
_cell_angle_beta 99.53
_cell_angle_gamma 90.00
loop_
_atom_site_label
_atom_site_fract_x
_atom_site_fract_y
_atom_site_fract_z
Fe1 0.0000 0.0054 0.0000
Fe2 0.0000 0.9946 0.5000
Re1 0.2437 0.4127 0.1341
Re2 0.2437 0.5873 0.6341
Br1 0.0098 0.3747 0.5044
Br2 0.0098 0.6253 0.0044
Br3 0.1387 0.3653 0.7464
Br4 0.1387 0.6347 0.2464
Br5 0.3101 0.1695 0.0010
Br6 0.3101 0.8305 0.5010
Br7 0.4343 0.1809 0.2403
Br8 0.4343 0.8191 0.7403
Br9 0.5091 0.3664 0.6097
Br10 0.5091 0.6336 0.1097
Br11 0.7831 0.1203 0.8808
Br12 0.7831 0.8797 0.3808
Br13 0.9420 0.1711 0.1376
Br14 0.9420 0.8289 0.6376
```

Top 12 peaks for 5° ≤ 2θ ≤ 70°, sorted by position:
11.81°, I = 100
12.62°, I = 77
15.22°, I = 27
15.82°, I = 77
18.37°, I = 53
18.91°, I = 42
23.45°, I = 25
27.48°, I = 43
28.85°, I = 82
33.63°, I = 44
38.14°, I = 34
42.01°, I = 25



# FeSb2Se3Br2
Calculated PXRD pattern, Cu Kα. Input: a crystal structure in OQMD, relaxed with GGA-PBE.
No peak broadening, texture or thermal motion is included.

Atomic structure:
```
data_FeSb2Se3Br2
_chemical_formula_sum 'Fe2 Sb4 Se6 Br4'
_symmetry_space_group_name_H-M 'P 1'
_symmetry_Int_Tables_number 1
_symmetry_space_group_name_Hall 'P 1'
_cell_length_a 10.8299
_cell_length_b 10.8299
_cell_length_c 12.4708
_cell_angle_alpha 120.10
_cell_angle_beta 120.10
_cell_angle_gamma 21.18
loop_
_atom_site_label
_atom_site_fract_x
_atom_site_fract_y
_atom_site_fract_z
Fe1 0.1565 0.1565 0.4515
Fe2 0.8435 0.8435 0.5485
Sb1 0.2041 0.2041 0.0888
Sb2 0.4584 0.4584 0.2246
Sb3 0.5416 0.5416 0.7754
Sb4 0.7959 0.7959 0.9112
Se1 0.0478 0.0478 0.2328
Se2 0.1776 0.1776 0.8597
Se3 0.4033 0.4033 0.9806
Se4 0.5967 0.5967 0.0194
Se5 0.8224 0.8224 0.1403
Se6 0.9522 0.9522 0.7672
Br1 0.2889 0.2889 0.6388
Br2 0.3876 0.3876 0.4668
Br3 0.6124 0.6124 0.5332
Br4 0.7111 0.7111 0.3612
```

Top 12 peaks for 5° ≤ 2θ ≤ 70°, sorted by position:
8.24°, I = 15
14.26°, I = 40
17.94°, I = 15
29.55°, I = 43
30.21°, I = 32
31.04°, I = 100
33.27°, I = 44
44.84°, I = 19
45.59°, I = 26
50.32°, I = 20
50.77°, I = 18
55.27°, I = 15



# Th6FeBr15
Calculated PXRD pattern, Cu Kα. Input: a crystal structure in OQMD, relaxed with GGA-PBE.
No peak broadening, texture or thermal motion is included.

Atomic structure:
```
data_Th6FeBr15
_chemical_formula_sum 'Th6 Fe1 Br15'
_symmetry_space_group_name_H-M 'P 1'
_symmetry_Int_Tables_number 1
_symmetry_space_group_name_Hall 'P 1'
_cell_length_a 10.1113
_cell_length_b 10.1113
_cell_length_c 10.1113
_cell_angle_alpha 109.47
_cell_angle_beta 109.47
_cell_angle_gamma 109.47
loop_
_atom_site_label
_atom_site_fract_x
_atom_site_fract_y
_atom_site_fract_z
Th1 0.0000 0.2377 0.2377
Th2 0.0000 0.7623 0.7623
Th3 0.2377 0.0000 0.2377
Th4 0.2377 0.2377 0.0000
Th5 0.7623 0.0000 0.7623
Th6 0.7623 0.7623 0.0000
Fe1 0.0000 0.0000 0.0000
Br1 0.0000 0.2509 0.7491
Br2 0.0000 0.5000 0.5000
Br3 0.0000 0.7491 0.2509
Br4 0.2509 0.0000 0.7491
Br5 0.2509 0.2509 0.5017
Br6 0.2509 0.5017 0.2509
Br7 0.2509 0.7491 0.0000
Br8 0.4983 0.7491 0.7491
Br9 0.5000 0.0000 0.5000
Br10 0.5000 0.5000 0.0000
Br11 0.5017 0.2509 0.2509
Br12 0.7491 0.0000 0.2509
Br13 0.7491 0.2509 0.0000
Br14 0.7491 0.4983 0.7491
Br15 0.7491 0.7491 0.4983
```

Top 12 peaks for 5° ≤ 2θ ≤ 70°, sorted by position:
10.72°, I = 77
15.18°, I = 14
18.62°, I = 30
21.53°, I = 15
24.10°, I = 14
28.61°, I = 40
30.63°, I = 100
36.08°, I = 18
39.35°, I = 18
43.87°, I = 73
54.45°, I = 25
58.05°, I = 13



# TmFeBr
Calculated PXRD pattern, Cu Kα. Input: a crystal structure in OQMD, relaxed with GGA-PBE.
No peak broadening, texture or thermal motion is included.

Atomic structure:
```
data_TmFeBr
_chemical_formula_sum 'Tm2 Fe2 Br2'
_symmetry_space_group_name_H-M 'P 1'
_symmetry_Int_Tables_number 1
_symmetry_space_group_name_Hall 'P 1'
_cell_length_a 11.7623
_cell_length_b 11.7623
_cell_length_c 11.7623
_cell_angle_alpha 18.66
_cell_angle_beta 18.66
_cell_angle_gamma 18.66
loop_
_atom_site_label
_atom_site_fract_x
_atom_site_fract_y
_atom_site_fract_z
Tm1 0.0560 0.0560 0.0560
Tm2 0.9440 0.9440 0.9440
Fe1 0.3357 0.3357 0.3357
Fe2 0.6643 0.6643 0.6643
Br1 0.2225 0.2225 0.2225
Br2 0.7775 0.7775 0.7775
```

Top 12 peaks for 5° ≤ 2θ ≤ 70°, sorted by position:
7.65°, I = 100
15.34°, I = 10
27.12°, I = 33
32.59°, I = 61
34.14°, I = 26
37.62°, I = 23
39.53°, I = 31
47.20°, I = 11
47.70°, I = 34
58.96°, I = 11
63.62°, I = 7
69.36°, I = 21



# ZrFeBr7
Calculated PXRD pattern, Cu Kα. Input: a crystal structure in OQMD, relaxed with GGA-PBE.
No peak broadening, texture or thermal motion is included.

Atomic structure:
```
data_ZrFeBr7
_chemical_formula_sum 'Zr2 Fe2 Br14'
_symmetry_space_group_name_H-M 'P 1'
_symmetry_Int_Tables_number 1
_symmetry_space_group_name_Hall 'P 1'
_cell_length_a 7.3639
_cell_length_b 6.3917
_cell_length_c 15.7052
_cell_angle_alpha 90.00
_cell_angle_beta 98.31
_cell_angle_gamma 90.00
loop_
_atom_site_label
_atom_site_fract_x
_atom_site_fract_y
_atom_site_fract_z
Zr1 0.0000 0.0813 0.0000
Zr2 0.0000 0.9187 0.5000
Fe1 0.7421 0.4867 0.8596
Fe2 0.7421 0.5133 0.3596
Br1 0.0371 0.3328 0.8534
Br2 0.0371 0.6672 0.3534
Br3 0.1763 0.3334 0.1014
Br4 0.1763 0.6666 0.6014
Br5 0.2581 0.1380 0.4613
Br6 0.2581 0.8620 0.9613
Br7 0.5305 0.3809 0.7472
Br8 0.5305 0.6191 0.2472
Br9 0.6758 0.3313 0.9904
Br10 0.6758 0.6687 0.4904
Br11 0.7530 0.1427 0.3608
Br12 0.7530 0.8573 0.8608
Br13 0.8655 0.1436 0.6052
Br14 0.8655 0.8564 0.1052
```

Top 12 peaks for 5° ≤ 2θ ≤ 70°, sorted by position:
11.39°, I = 87
12.15°, I = 68
15.42°, I = 69
17.97°, I = 46
24.37°, I = 33
26.48°, I = 75
28.07°, I = 100
28.51°, I = 57
30.95°, I = 36
32.79°, I = 56
37.33°, I = 38
49.53°, I = 37



# NdGdGa2Br2
Calculated PXRD pattern, Cu Kα. Input: a crystal structure in OQMD, relaxed with GGA-PBE.
No peak broadening, texture or thermal motion is included.

Atomic structure:
```
data_NdGdGa2Br2
_chemical_formula_sum 'Nd1 Gd1 Ga2 Br2'
_symmetry_space_group_name_H-M 'P 1'
_symmetry_Int_Tables_number 1
_symmetry_space_group_name_Hall 'P 1'
_cell_length_a 4.1920
_cell_length_b 4.1920
_cell_length_c 11.4494
_cell_angle_alpha 90.00
_cell_angle_beta 90.00
_cell_angle_gamma 120.00
loop_
_atom_site_label
_atom_site_fract_x
_atom_site_fract_y
_atom_site_fract_z
Nd1 0.0000 0.0000 0.0000
Gd1 0.0000 0.0000 0.6337
Ga1 0.3333 0.6667 0.8430
Ga2 0.6667 0.3333 0.7898
Br1 0.3333 0.6667 0.4778
Br2 0.6667 0.3333 0.1569
```

Top 12 peaks for 5° ≤ 2θ ≤ 70°, sorted by position:
7.72°, I = 86
15.48°, I = 11
24.52°, I = 13
25.74°, I = 21
29.13°, I = 68
34.09°, I = 100
43.16°, I = 51
46.91°, I = 23
52.92°, I = 13
56.11°, I = 24
59.82°, I = 10
66.23°, I = 18



# HfGa3Br6
Calculated PXRD pattern, Cu Kα. Input: a crystal structure in OQMD, relaxed with GGA-PBE.
No peak broadening, texture or thermal motion is included.

Atomic structure:
```
data_HfGa3Br6
_chemical_formula_sum 'Hf1 Ga3 Br6'
_symmetry_space_group_name_H-M 'P 1'
_symmetry_Int_Tables_number 1
_symmetry_space_group_name_Hall 'P 1'
_cell_length_a 7.8853
_cell_length_b 7.8853
_cell_length_c 7.8853
_cell_angle_alpha 60.00
_cell_angle_beta 60.00
_cell_angle_gamma 60.00
loop_
_atom_site_label
_atom_site_fract_x
_atom_site_fract_y
_atom_site_fract_z
Hf1 0.0000 0.0000 0.0000
Ga1 0.2500 0.2500 0.2500
Ga2 0.5000 0.5000 0.5000
Ga3 0.7500 0.7500 0.7500
Br1 0.2358 0.2358 0.7642
Br2 0.2358 0.7642 0.2358
Br3 0.2358 0.7642 0.7642
Br4 0.7642 0.2358 0.2358
Br5 0.7642 0.2358 0.7642
Br6 0.7642 0.7642 0.2358
```

Top 12 peaks for 5° ≤ 2θ ≤ 70°, sorted by position:
13.75°, I = 27
15.89°, I = 52
22.55°, I = 35
27.71°, I = 38
32.11°, I = 100
36.02°, I = 25
39.59°, I = 15
46.04°, I = 70
49.01°, I = 13
54.59°, I = 14
57.23°, I = 24
67.15°, I = 11



# Pr3GaIBr2
Calculated PXRD pattern, Cu Kα. Input: a crystal structure in OQMD, relaxed with GGA-PBE.
No peak broadening, texture or thermal motion is included.

Atomic structure:
```
data_Pr3GaIBr2
_chemical_formula_sum 'Pr3 Ga1 I1 Br2'
_symmetry_space_group_name_H-M 'P 1'
_symmetry_Int_Tables_number 1
_symmetry_space_group_name_Hall 'P 1'
_cell_length_a 6.1903
_cell_length_b 6.1903
_cell_length_c 6.0471
_cell_angle_alpha 90.00
_cell_angle_beta 90.00
_cell_angle_gamma 90.00
loop_
_atom_site_label
_atom_site_fract_x
_atom_site_fract_y
_atom_site_fract_z
Pr1 0.0000 0.0000 0.0000
Pr2 0.0000 0.5000 0.5000
Pr3 0.5000 0.0000 0.5000
Ga1 0.0000 0.0000 0.5000
I1 0.5000 0.5000 0.5000
Br1 0.0000 0.5000 0.0000
Br2 0.5000 0.0000 0.0000
```

Top 12 peaks for 5° ≤ 2θ ≤ 70°, sorted by position:
14.65°, I = 12
20.53°, I = 28
28.85°, I = 100
29.54°, I = 47
35.67°, I = 14
41.25°, I = 38
41.76°, I = 73
51.55°, I = 39
59.76°, I = 12
67.69°, I = 17
68.06°, I = 17
69.15°, I = 16



# La2NdGaBr3
Calculated PXRD pattern, Cu Kα. Input: a crystal structure in OQMD, relaxed with GGA-PBE.
No peak broadening, texture or thermal motion is included.

Atomic structure:
```
data_La2NdGaBr3
_chemical_formula_sum 'La2 Nd1 Ga1 Br3'
_symmetry_space_group_name_H-M 'P 1'
_symmetry_Int_Tables_number 1
_symmetry_space_group_name_Hall 'P 1'
_cell_length_a 6.0998
_cell_length_b 6.0998
_cell_length_c 6.0796
_cell_angle_alpha 90.00
_cell_angle_beta 90.00
_cell_angle_gamma 90.00
loop_
_atom_site_label
_atom_site_fract_x
_atom_site_fract_y
_atom_site_fract_z
La1 0.0000 0.5000 0.0000
La2 0.5000 0.0000 0.0000
Nd1 0.0000 0.0000 0.5000
Ga1 0.0000 0.0000 0.0000
Br1 0.0000 0.5000 0.5000
Br2 0.5000 0.0000 0.5000
Br3 0.5000 0.5000 0.0000
```

Top 12 peaks for 5° ≤ 2θ ≤ 70°, sorted by position:
14.54°, I = 16
20.62°, I = 19
29.32°, I = 100
32.87°, I = 9
36.11°, I = 9
41.94°, I = 75
44.61°, I = 5
51.99°, I = 26
60.73°, I = 8
60.96°, I = 4
68.86°, I = 23
69.04°, I = 11



# La2PrGaBr3
Calculated PXRD pattern, Cu Kα. Input: a crystal structure in OQMD, relaxed with GGA-PBE.
No peak broadening, texture or thermal motion is included.

Atomic structure:
```
data_La2PrGaBr3
_chemical_formula_sum 'La2 Pr1 Ga1 Br3'
_symmetry_space_group_name_H-M 'P 1'
_symmetry_Int_Tables_number 1
_symmetry_space_group_name_Hall 'P 1'
_cell_length_a 6.1157
_cell_length_b 6.1157
_cell_length_c 6.0931
_cell_angle_alpha 90.00
_cell_angle_beta 90.00
_cell_angle_gamma 90.00
loop_
_atom_site_label
_atom_site_fract_x
_atom_site_fract_y
_atom_site_fract_z
La1 0.0000 0.5000 0.0000
La2 0.5000 0.0000 0.0000
Pr1 0.0000 0.0000 0.5000
Ga1 0.0000 0.0000 0.0000
Br1 0.0000 0.5000 0.5000
Br2 0.5000 0.0000 0.5000
Br3 0.5000 0.5000 0.0000
```

Top 12 peaks for 5° ≤ 2θ ≤ 70°, sorted by position:
14.50°, I = 22
20.56°, I = 26
29.20°, I = 89
29.32°, I = 44
32.79°, I = 12
36.01°, I = 12
41.83°, I = 100
44.49°, I = 6
51.85°, I = 35
60.56°, I = 11
68.66°, I = 30
68.86°, I = 15